Record 1
Theoretical powder diffractogram of CrAs2O7 for Cu Kα X-rays, from a GGA+U-relaxed structure.
Peak positions follow from Bragg's law for the DFT cell and can differ from measured ones.

Largest 10 diffraction maxima, most intense first, 2θ = 10–90°:
Position (°2θ)  I (rel.)
19.7  100
29.9  77
26.5  68
28.5  65
20.9  57
33.3  45
33.0  40
20.4  33
13.9  30
28.1  26

Structure:
a = 7.0579 Å, b = 9.0166 Å, c = 9.4148 Å
α = 90.00°, β = 106.08°, γ = 90.00°
Sites, in units of the cell vectors:
1 Cr 0.1953 0.0769 0.2878
2 Cr 0.1953 0.4231 0.7878
3 Cr 0.8047 0.5769 0.2122
4 Cr 0.8047 0.9231 0.7122
5 As 0.0254 0.7004 0.9616
6 As 0.0254 0.7996 0.4616
7 As 0.4149 0.7503 0.2644
8 As 0.4149 0.7497 0.7644
9 As 0.5851 0.2503 0.2356
10 As 0.5851 0.2497 0.7356
11 As 0.9746 0.2004 0.5384
12 As 0.9746 0.2996 0.0384
13 O 0.0141 0.1198 0.1117
14 O 0.0141 0.3802 0.6117
15 O 0.0193 0.5831 0.8200
16 O 0.0193 0.9169 0.3200
17 O 0.1634 0.1754 0.4539
18 O 0.1634 0.3246 0.9539
19 O 0.2435 0.6722 0.0994
20 O 0.2435 0.8278 0.5994
21 O 0.3615 0.2435 0.2742
22 O 0.3615 0.2565 0.7742
23 O 0.3762 0.6650 0.4072
24 O 0.3762 0.8350 0.9072
25 O 0.3779 0.5537 0.7585
26 O 0.3779 0.9463 0.2585
27 O 0.6221 0.0537 0.7415
28 O 0.6221 0.4463 0.2415
29 O 0.6238 0.1650 0.0928
30 O 0.6238 0.3350 0.5928
31 O 0.6385 0.7435 0.2258
32 O 0.6385 0.7565 0.7258
33 O 0.7565 0.1722 0.4006
34 O 0.7565 0.3278 0.9006
35 O 0.8366 0.6754 0.0461
36 O 0.8366 0.8246 0.5461
37 O 0.9807 0.0831 0.6800
38 O 0.9807 0.4169 0.1800
39 O 0.9859 0.6198 0.3883
40 O 0.9859 0.8802 0.8883



Record 2
Theoretical powder diffractogram of CaMn3O4 for Cu Kα X-rays, from a GGA+U-relaxed structure.
Peak positions follow from Bragg's law for the DFT cell and can differ from measured ones.

Largest 10 diffraction maxima, most intense first, 2θ = 10–90°:
Position (°2θ)  I (rel.)
38.9  100
33.7  82
56.7  56
39.6  46
56.2  29
70.9  26
67.1  22
68.1  10
83.5  8
85.3  3

Structure:
a = 3.2746 Å, b = 3.2746 Å, c = 9.1021 Å
α = 90.00°, β = 90.00°, γ = 90.00°
Sites, in units of the cell vectors:
1 Ca 0.0000 0.0000 0.0000
2 Mn 0.0000 0.0000 0.5000
3 Mn 0.5000 0.5000 0.2577
4 Mn 0.5000 0.5000 0.7423
5 O 0.0000 0.0000 0.2598
6 O 0.0000 0.0000 0.7402
7 O 0.5000 0.5000 0.0000
8 O 0.5000 0.5000 0.5000



Record 3
Theoretical powder diffractogram of Sr3NbCoO7 for Cu Kα X-rays, from a GGA+U-relaxed structure.
Peak positions follow from Bragg's law for the DFT cell and can differ from measured ones.

Largest 10 diffraction maxima, most intense first, 2θ = 10–90°:
Position (°2θ)  I (rel.)
31.8  100
30.6  78
30.7  76
45.3  31
45.7  30
56.0  28
53.9  22
42.3  22
55.8  22
66.4  18

Structure:
a = 4.0007 Å, b = 7.9353 Å, c = 11.0447 Å
α = 100.33°, β = 100.33°, γ = 90.01°
Sites, in units of the cell vectors:
1 Sr 0.0000 0.0000 0.0000
2 Sr 0.9999 0.4853 0.0001
3 Sr 0.1635 0.0773 0.3235
4 Sr 0.1632 0.5697 0.3237
5 Sr 0.3689 0.6808 0.7466
6 Sr 0.3707 0.1771 0.7445
7 Nb 0.7774 0.8815 0.5568
8 Nb 0.7788 0.3828 0.5602
9 Co 0.5749 0.2801 0.1499
10 Co 0.5812 0.7797 0.1474
11 O 0.0780 0.7861 0.1739
12 O 0.0858 0.2852 0.1704
13 O 0.2813 0.8842 0.5685
14 O 0.2831 0.3859 0.5710
15 O 0.4635 0.7360 0.9718
16 O 0.4799 0.2333 0.9641
17 O 0.5859 0.0421 0.1692
18 O 0.5857 0.5277 0.1690
19 O 0.6837 0.8371 0.3776
20 O 0.6887 0.3379 0.3810
21 O 0.7824 0.6353 0.5695
22 O 0.7827 0.1350 0.5706
23 O 0.8726 0.9292 0.7556
24 O 0.8742 0.4344 0.7570



Record 4
Theoretical powder diffractogram of Li9Mn2Co5O16 for Cu Kα X-rays, from a GGA+U-relaxed structure.
Peak positions follow from Bragg's law for the DFT cell and can differ from measured ones.

Largest 10 diffraction maxima, most intense first, 2θ = 10–90°:
Position (°2θ)  I (rel.)
18.2  100
43.5  56
36.1  28
43.4  26
62.9  14
63.4  14
57.2  13
35.8  13
47.7  9
64.1  7

Structure:
a = 5.1497 Å, b = 2.9051 Å, c = 19.3535 Å
α = 90.00°, β = 94.39°, γ = 90.00°
Sites, in units of the cell vectors:
1 Li 0.0000 0.0000 0.0000
2 Li 0.0069 0.5000 0.5071
3 Li 0.1451 0.0000 0.3727
4 Li 0.2804 0.5000 0.2428
5 Li 0.3777 0.0000 0.1228
6 Li 0.5233 0.5000 0.9999
7 Li 0.6397 0.0000 0.8796
8 Li 0.7523 0.5000 0.7507
9 Li 0.8795 0.0000 0.6289
10 Mn 0.1240 0.5000 0.8797
11 Mn 0.6506 0.5000 0.3748
12 Co 0.2585 0.0000 0.7512
13 Co 0.3788 0.5000 0.6259
14 Co 0.5058 0.0000 0.5022
15 Co 0.7899 0.0000 0.2444
16 Co 0.8822 0.5000 0.1167
17 O 0.0695 0.0000 0.1920
18 O 0.0815 0.5000 0.6918
19 O 0.1647 0.5000 0.0706
20 O 0.2044 0.0000 0.5637
21 O 0.2985 0.0000 0.9308
22 O 0.3616 0.5000 0.4347
23 O 0.4162 0.5000 0.8127
24 O 0.4890 0.0000 0.3193
25 O 0.5512 0.0000 0.6869
26 O 0.6030 0.5000 0.1908
27 O 0.6782 0.5000 0.5611
28 O 0.6931 0.0000 0.0665
29 O 0.8113 0.0000 0.4309
30 O 0.8435 0.5000 0.9326
31 O 0.9296 0.5000 0.3152
32 O 0.9701 0.0000 0.8195



Record 5
Theoretical powder diffractogram of NaMnO2 for Cu Kα X-rays, from a GGA+U-relaxed structure.
Peak positions follow from Bragg's law for the DFT cell and can differ from measured ones.

Largest 10 diffraction maxima, most intense first, 2θ = 10–90°:
Position (°2θ)  I (rel.)
15.8  100
31.8  75
49.8  60
34.9  55
41.7  48
46.1  44
58.7  34
33.3  31
39.6  27
74.6  15

Structure:
a = 3.1930 Å, b = 3.1930 Å, c = 5.6904 Å
α = 98.16°, β = 98.16°, γ = 53.84°
Sites, in units of the cell vectors:
1 Na 0.0000 0.0000 0.0000
2 Mn 0.0000 0.0000 0.5000
3 O 0.3526 0.3526 0.2954
4 O 0.6474 0.6474 0.7046



Record 6
Theoretical powder diffractogram of Li2FeF4 for Cu Kα X-rays, from a GGA+U-relaxed structure.
Peak positions follow from Bragg's law for the DFT cell and can differ from measured ones.

Largest 10 diffraction maxima, most intense first, 2θ = 10–90°:
Position (°2θ)  I (rel.)
23.7  100
24.0  75
18.8  60
28.9  51
51.4  42
41.2  38
53.7  31
38.0  31
41.0  27
17.4  27

Structure:
a = 5.9993 Å, b = 9.6452 Å, c = 5.4286 Å
α = 90.00°, β = 90.00°, γ = 90.00°
Sites, in units of the cell vectors:
1 Li 0.0099 0.2291 0.0000
2 Li 0.1664 0.0235 0.5830
3 Li 0.3336 0.5235 0.0830
4 Li 0.4901 0.7291 0.5000
5 Li 0.5099 0.2709 0.0000
6 Li 0.6664 0.4765 0.5830
7 Li 0.8336 0.9765 0.0830
8 Li 0.9901 0.7709 0.5000
9 Fe 0.1634 0.3887 0.5246
10 Fe 0.3366 0.8887 0.0246
11 Fe 0.6634 0.1113 0.5246
12 Fe 0.8366 0.6113 0.0246
13 F 0.0830 0.7517 0.1574
14 F 0.0985 0.0390 0.9294
15 F 0.1006 0.5005 0.8445
16 F 0.2445 0.3077 0.1840
17 F 0.2555 0.8077 0.6840
18 F 0.3994 0.0005 0.3445
19 F 0.4015 0.5390 0.4294
20 F 0.4170 0.2517 0.6574
21 F 0.5830 0.7483 0.1574
22 F 0.5985 0.4610 0.9294
23 F 0.6006 0.9995 0.8445
24 F 0.7445 0.1923 0.1840
25 F 0.7555 0.6923 0.6840
26 F 0.8994 0.4995 0.3445
27 F 0.9015 0.9610 0.4294
28 F 0.9170 0.2483 0.6574



Record 7
Theoretical powder diffractogram of MnO2 for Cu Kα X-rays, from a GGA+U-relaxed structure.
Peak positions follow from Bragg's law for the DFT cell and can differ from measured ones.

Largest 10 diffraction maxima, most intense first, 2θ = 10–90°:
Position (°2θ)  I (rel.)
12.7  100
41.7  15
36.5  11
50.2  9
25.6  8
65.2  6
63.6  4
35.7  4
57.1  3
60.9  3

Structure:
a = 7.1714 Å, b = 7.1714 Å, c = 7.1714 Å
α = 23.53°, β = 23.53°, γ = 23.53°
Sites, in units of the cell vectors:
1 Mn 0.0000 0.0000 0.0000
2 O 0.3792 0.3792 0.3792
3 O 0.6208 0.6208 0.6208